Diffraction record for Cu3NiH6Cl2O6. The PXRD pattern is theoretical, not measured: it uses a DFT-relaxed cell (PBE+U, the Materials Project) and CuKα.

```
Cu3NiH6Cl2O6
1.0
6.0840 0.0000 0.0000
0.0246 6.9704 0.0000
1.9245 0.0106 9.0852
Cu Ni H Cl O
6 2 12 4 12
Cartesian
0.0000 0.0000 0.0000
1.9373 3.4939 9.0851
2.0091 1.7399 2.2930
4.0275 6.9734 4.5445
4.0198 3.4856 4.5377
6.0300 5.2375 6.7891
2.9877 5.2352 6.8072
5.0535 1.7460 2.2682
0.5682 6.6243 2.4739
0.5620 3.8319 2.4727
2.1702 5.2337 4.3041
1.8732 5.2260 0.2391
3.4689 3.8331 2.0666
3.4841 6.6197 2.0672
4.5536 0.3609 7.0181
4.5681 3.1480 7.0153
6.1595 1.7530 8.8400
5.8652 1.7438 4.7788
7.4737 3.1475 6.6095
7.4671 0.3540 6.6066
1.7803 1.7481 5.1703
4.1670 1.7530 8.4450
3.8706 5.2261 0.6380
6.2580 5.2300 3.9081
0.5620 0.4389 1.8634
0.5687 3.0450 1.8640
2.9009 5.2362 8.8938
3.0762 5.2316 4.7141
3.4617 3.0483 2.6778
3.4760 0.4421 2.6672
4.5678 6.5408 6.4153
4.5756 3.9287 6.3991
4.9601 1.7415 4.3670
5.1344 1.7424 0.1788
7.4695 3.9326 7.2203
7.4790 6.5401 7.2183
```

Most intense lines, 10° ≤ 2θ ≤ 90°, by angle:
Position (°2θ)  d/Å  Rel. int.
16.02  5.531  100
19.45  4.563  16
30.24  2.956  21
32.25  2.775  62
32.36  2.766  53
39.72  2.269  41
39.90  2.259  22
49.36  1.846  16
52.49  1.743  23
67.74  1.383  15

Diffraction record for VCl2O. The PXRD pattern is theoretical, not measured: it uses a DFT-relaxed cell (PBE+U, the Materials Project) and CuKα.

```
VCl2O
1.0
6.7528 -1.8673 0.0000
6.7528 1.8673 0.0000
-1.8113 0.0000 6.7490
V Cl O
2 4 2
Cartesian
5.3944 1.6517 5.0617
6.3000 -1.6517 1.6872
1.5985 0.0010 0.4266
0.6928 -0.0010 3.8011
11.0016 0.0010 2.9479
10.0959 -0.0010 6.3224
6.3000 0.0386 1.6872
5.3944 -0.0386 5.0617
```

Most intense lines, 10° ≤ 2θ ≤ 90°, by angle:
Position (°2θ)  d/Å  Rel. int.
13.58  6.522  100
24.80  3.590  69
32.89  2.724  70
43.28  2.090  27
45.12  2.009  38
48.77  1.867  11
52.37  1.747  11
58.78  1.571  10
60.07  1.540  15
67.23  1.393  10

Diffraction record for Sr3PrMn4O12. The PXRD pattern is theoretical, not measured: it uses a DFT-relaxed cell (PBE+U, the Materials Project) and CuKα.

```
Sr3PrMn4O12
1.0
-3.8844 3.8844 3.8844
3.8844 -3.8844 3.8844
3.8844 3.8844 -3.8844
Sr Pr Mn O
3 1 4 12
Cartesian
3.8844 0.0000 0.0000
0.0000 3.8844 0.0000
0.0000 0.0000 3.8844
0.0000 0.0000 0.0000
1.9422 1.9422 -1.9422
1.9422 -1.9422 1.9422
-1.9422 1.9422 1.9422
1.9422 1.9422 1.9422
3.8844 1.9796 -1.9796
3.8844 -1.9796 1.9796
5.8640 0.0000 1.9047
1.9048 1.9048 0.0000
1.9048 0.0000 1.9048
5.8640 1.9047 0.0000
0.0000 1.9048 1.9048
3.8844 1.9796 1.9796
-1.9796 3.8844 1.9796
-1.9796 1.9796 3.8844
1.9796 3.8844 1.9796
1.9796 1.9796 3.8844
```

Most intense lines, 10° ≤ 2θ ≤ 90°, by angle:
Position (°2θ)  d/Å  Rel. int.
16.13  5.493  6
22.89  3.884  4
32.60  2.747  100
40.21  2.243  17
46.77  1.942  37
58.17  1.586  38
68.30  1.373  21
77.75  1.228  16
82.33  1.171  5
86.87  1.121  7

Please write out number 3 again, unchanged.
Diffraction record for Sr3PrMn4O12. The PXRD pattern is theoretical, not measured: it uses a DFT-relaxed cell (PBE+U, the Materials Project) and CuKα.

```
Sr3PrMn4O12
1.0
-3.8844 3.8844 3.8844
3.8844 -3.8844 3.8844
3.8844 3.8844 -3.8844
Sr Pr Mn O
3 1 4 12
Cartesian
3.8844 0.0000 0.0000
0.0000 3.8844 0.0000
0.0000 0.0000 3.8844
0.0000 0.0000 0.0000
1.9422 1.9422 -1.9422
1.9422 -1.9422 1.9422
-1.9422 1.9422 1.9422
1.9422 1.9422 1.9422
3.8844 1.9796 -1.9796
3.8844 -1.9796 1.9796
5.8640 0.0000 1.9047
1.9048 1.9048 0.0000
1.9048 0.0000 1.9048
5.8640 1.9047 0.0000
0.0000 1.9048 1.9048
3.8844 1.9796 1.9796
-1.9796 3.8844 1.9796
-1.9796 1.9796 3.8844
1.9796 3.8844 1.9796
1.9796 1.9796 3.8844
```

Most intense lines, 10° ≤ 2θ ≤ 90°, by angle:
Position (°2θ)  d/Å  Rel. int.
16.13  5.493  6
22.89  3.884  4
32.60  2.747  100
40.21  2.243  17
46.77  1.942  37
58.17  1.586  38
68.30  1.373  21
77.75  1.228  16
82.33  1.171  5
86.87  1.121  7